The following is a calculated powder diffraction line list of SmTmZn2. It was derived from DFT lattice parameters and positions (GGA-PBE), using Cu Kα (λ = 1.5418 Å).
Lines closer than 0.1° are merged.

Atomic structure:
```
data_SmTmZn2
_chemical_formula_sum 'Sm4 Tm4 Zn8'
_cell_length_a 7.1702
_cell_length_b 7.1702
_cell_length_c 7.1702
_cell_angle_alpha 90.00
_cell_angle_beta 90.00
_cell_angle_gamma 90.00
_space_group_name_H-M_alt 'F m -3 m'
_space_group_IT_number 225
_space_group_name_Hall '-F 4 2 3'
loop_
_atom_site_label
_atom_site_type_symbol
_atom_site_fract_x
_atom_site_fract_y
_atom_site_fract_z
Sm1 Sm 0.0000 0.0000 0.0000
Tm1 Tm 0.0000 0.0000 0.5000
Zn1 Zn 0.2500 0.2500 0.2500
```

Main lines, low angle first (10 to 90 degrees two-theta):
24.8°, intensity 18; 35.4°, intensity 100; 43.7°, intensity 5; 50.9°, intensity 18; 57.5°, intensity 8; 63.6°, intensity 36; 74.9°, intensity 11; 85.7°, intensity 16

---

The following is a calculated powder diffraction line list of Sm3V. It was derived from DFT lattice parameters and positions (GGA-PBE), using Cu Kα (λ = 1.5418 Å).
Lines closer than 0.1° are merged.

Atomic structure:
```
data_Sm3V
_chemical_formula_sum 'Sm12 V4'
_cell_length_a 7.7233
_cell_length_b 7.7233
_cell_length_c 7.7233
_cell_angle_alpha 90.00
_cell_angle_beta 90.00
_cell_angle_gamma 90.00
_space_group_name_H-M_alt 'F m -3 m'
_space_group_IT_number 225
_space_group_name_Hall '-F 4 2 3'
loop_
_atom_site_label
_atom_site_type_symbol
_atom_site_fract_x
_atom_site_fract_y
_atom_site_fract_z
Sm1 Sm 0.0000 0.0000 0.0000
Sm2 Sm 0.2500 0.2500 0.2500
V1 V 0.0000 0.0000 0.5000
```

Main lines, low angle first (10 to 90 degrees two-theta):
19.9°, intensity 9; 23.0°, intensity 5; 32.8°, intensity 100; 38.7°, intensity 5; 47.1°, intensity 18; 58.6°, intensity 38; 68.8°, intensity 12; 78.3°, intensity 16

---

The following is a calculated powder diffraction line list of Sm3Y. It was derived from DFT lattice parameters and positions (GGA-PBE), using Cu Kα (λ = 1.5418 Å).
Lines closer than 0.1° are merged.

Atomic structure:
```
data_Sm3Y
_chemical_formula_sum 'Sm6 Y2'
_cell_length_a 7.3452
_cell_length_b 7.3452
_cell_length_c 5.8189
_cell_angle_alpha 90.00
_cell_angle_beta 90.00
_cell_angle_gamma 120.00
_space_group_name_H-M_alt 'P 63/m m c'
_space_group_IT_number 194
_space_group_name_Hall '-P 6c 2c'
loop_
_atom_site_label
_atom_site_type_symbol
_atom_site_fract_x
_atom_site_fract_y
_atom_site_fract_z
Sm1 Sm 0.1666 0.3332 0.2500
Y1 Y 0.3333 0.6667 0.7500
```

Main lines, low angle first (10 to 90 degrees two-theta):
28.1°, intensity 24; 30.7°, intensity 25; 32.1°, intensity 100; 42.1°, intensity 16; 49.6°, intensity 20; 55.5°, intensity 21; 59.5°, intensity 23; 60.3°, intensity 16

---

The following is a calculated powder diffraction line list of SmYZn2. It was derived from DFT lattice parameters and positions (GGA-PBE), using Cu Kα (λ = 1.5418 Å).
Lines closer than 0.1° are merged.

Atomic structure:
```
data_SmYZn2
_chemical_formula_sum 'Sm4 Y4 Zn8'
_cell_length_a 7.2334
_cell_length_b 7.2334
_cell_length_c 7.2334
_cell_angle_alpha 90.00
_cell_angle_beta 90.00
_cell_angle_gamma 90.00
_space_group_name_H-M_alt 'F m -3 m'
_space_group_IT_number 225
_space_group_name_Hall '-F 4 2 3'
loop_
_atom_site_label
_atom_site_type_symbol
_atom_site_fract_x
_atom_site_fract_y
_atom_site_fract_z
Sm1 Sm 0.0000 0.0000 0.0000
Y1 Y 0.0000 0.0000 0.5000
Zn1 Zn 0.2500 0.2500 0.2500
```

Main lines, low angle first (10 to 90 degrees two-theta):
21.3°, intensity 5; 24.6°, intensity 8; 35.1°, intensity 100; 50.5°, intensity 17; 56.9°, intensity 3; 62.9°, intensity 35; 74.2°, intensity 11; 84.8°, intensity 15